No. 1
Structure and computed PXRD pattern of LiMnZn17 (DFT lattice parameters and positions (PBE); Cu Ka).

Crystal structure
a = 7.0751 Å, b = 7.0751 Å, c = 7.0751 Å
α = 68.17°, β = 68.17°, γ = 68.17°
Fractional positions:
Li: 0.0000 0.0000 0.0000
Mn: 0.2963 0.2963 0.2963
Zn: 0.0406 0.0406 0.3777
Zn: 0.0406 0.3777 0.0406
Zn: 0.0750 0.7164 0.7164
Zn: 0.3101 0.6347 0.9643
Zn: 0.3101 0.9643 0.6347
Zn: 0.3172 0.3172 0.6725
Zn: 0.3172 0.6725 0.3172
Zn: 0.3777 0.0406 0.0406
Zn: 0.5618 0.5618 0.5618
Zn: 0.6347 0.3101 0.9643
Zn: 0.6347 0.9643 0.3101
Zn: 0.6725 0.3172 0.3172
Zn: 0.7128 0.7128 0.7128
Zn: 0.7164 0.0750 0.7164
Zn: 0.7164 0.7164 0.0750
Zn: 0.9643 0.3101 0.6347
Zn: 0.9643 0.6347 0.3101

Peak list (6 most intense, 2θ from 10° to 90°, by angle)
2θ = 33.2°, I = 18; 2θ = 39.4°, I = 31; 2θ = 40.4°, I = 14; 2θ = 41.2°, I = 15; 2θ = 42.9°, I = 100; 2θ = 71.4°, I = 19

No. 2
Structure and computed PXRD pattern of Sb2OF8 (DFT lattice parameters and positions (PBE); Cu Ka).

Crystal structure
a = 8.3297 Å, b = 5.4164 Å, c = 16.5483 Å
α = 90.00°, β = 104.08°, γ = 90.00°
Fractional positions:
Sb: 0.0223 0.0564 0.1581
Sb: 0.0223 0.9436 0.6581
Sb: 0.4136 0.2444 0.6287
Sb: 0.4136 0.7556 0.1287
Sb: 0.5864 0.2444 0.8713
Sb: 0.5864 0.7556 0.3713
Sb: 0.9777 0.0564 0.3419
Sb: 0.9777 0.9436 0.8419
O: 0.2011 0.0596 0.6202
O: 0.2011 0.9404 0.1202
O: 0.7989 0.0596 0.8798
O: 0.7989 0.9404 0.3798
F: 0.0000 0.2061 0.7500
F: 0.0000 0.7939 0.2500
F: 0.0048 0.3762 0.3862
F: 0.0048 0.6238 0.8862
F: 0.1504 0.1792 0.2737
F: 0.1504 0.8208 0.7737
F: 0.1535 0.0962 0.9172
F: 0.1535 0.9038 0.4172
F: 0.3270 0.3663 0.5202
F: 0.3270 0.6337 0.0202
F: 0.3305 0.4913 0.1821
F: 0.3305 0.5087 0.6821
F: 0.3763 0.3951 0.8547
F: 0.3763 0.6049 0.3547
F: 0.4963 0.0562 0.0970
F: 0.4963 0.9438 0.5970
F: 0.5000 0.1044 0.7500
F: 0.5000 0.8956 0.2500
F: 0.5037 0.0562 0.4030
F: 0.5037 0.9438 0.9030
F: 0.6237 0.3951 0.6453
F: 0.6237 0.6049 0.1453
F: 0.6695 0.4913 0.3179
F: 0.6695 0.5087 0.8179
F: 0.6730 0.3663 0.9798
F: 0.6730 0.6337 0.4798
F: 0.8465 0.0962 0.5828
F: 0.8465 0.9038 0.0828
F: 0.8496 0.1792 0.2263
F: 0.8496 0.8208 0.7263
F: 0.9952 0.3762 0.1138
F: 0.9952 0.6238 0.6138

Peak list (6 most intense, 2θ from 10° to 90°, by angle)
2θ = 16.4°, I = 27; 2θ = 17.3°, I = 36; 2θ = 19.8°, I = 100; 2θ = 22.0°, I = 48; 2θ = 22.2°, I = 45; 2θ = 27.6°, I = 26

No. 3
Structure and computed PXRD pattern of Rb2TiRhCl6 (DFT lattice parameters and positions (PBE); Cu Ka).

Crystal structure
a = 7.1533 Å, b = 7.1533 Å, c = 7.1533 Å
α = 60.00°, β = 60.00°, γ = 60.00°
Fractional positions:
Rb: 0.2500 0.2500 0.2500
Rb: 0.7500 0.7500 0.7500
Ti: 0.0000 0.0000 0.0000
Rh: 0.5000 0.5000 0.5000
Cl: 0.2428 0.2428 0.7572
Cl: 0.2428 0.7572 0.2428
Cl: 0.2428 0.7572 0.7572
Cl: 0.7572 0.2428 0.2428
Cl: 0.7572 0.2428 0.7572
Cl: 0.7572 0.7572 0.2428

Peak list (6 most intense, 2θ from 10° to 90°, by angle)
2θ = 24.9°, I = 100; 2θ = 30.6°, I = 34; 2θ = 35.5°, I = 88; 2θ = 43.8°, I = 44; 2θ = 51.1°, I = 57; 2θ = 85.9°, I = 25

No. 4
Structure and computed PXRD pattern of Ti3Sn5S12 (DFT lattice parameters and positions (PBE); Cu Ka).

Crystal structure
a = 9.2011 Å, b = 3.6332 Å, c = 13.7985 Å
α = 90.00°, β = 90.45°, γ = 90.00°
Fractional positions:
Ti: 0.0000 0.0000 0.0000
Ti: 0.1730 0.5000 0.5152
Ti: 0.6913 0.5000 0.9109
Sn: 0.2932 0.5000 0.1146
Sn: 0.4016 0.0000 0.7830
Sn: 0.4930 0.0000 0.4056
Sn: 0.8017 0.5000 0.2791
Sn: 0.8837 0.0000 0.6259
S: 0.0206 0.0000 0.4532
S: 0.0779 0.5000 0.6731
S: 0.1033 0.0000 0.1611
S: 0.1572 0.5000 0.9422
S: 0.3104 0.5000 0.3551
S: 0.3469 0.0000 0.5664
S: 0.5302 0.0000 0.9627
S: 0.5937 0.5000 0.7448
S: 0.6071 0.0000 0.2359
S: 0.6724 0.5000 0.4615
S: 0.8350 0.5000 0.0580
S: 0.8543 0.0000 0.8524

Peak list (6 most intense, 2θ from 10° to 90°, by angle)
2θ = 16.1°, I = 41; 2θ = 21.7°, I = 42; 2θ = 29.4°, I = 40; 2θ = 31.4°, I = 57; 2θ = 32.1°, I = 100; 2θ = 41.1°, I = 39

No. 5
Structure and computed PXRD pattern of MgTi5Pt6 (DFT lattice parameters and positions (PBE); Cu Ka).

Crystal structure
a = 7.4354 Å, b = 7.4354 Å, c = 7.4354 Å
α = 148.31°, β = 118.41°, γ = 70.93°
Fractional positions:
Mg: 0.0000 0.0000 0.0000
Ti: 0.1766 0.6766 0.5000
Ti: 0.3427 0.3427 0.0000
Ti: 0.5000 0.0000 0.5000
Ti: 0.6573 0.6573 0.0000
Ti: 0.8234 0.3234 0.5000
Pt: 0.0788 0.8316 0.2472
Pt: 0.2412 0.5000 0.7412
Pt: 0.4156 0.1684 0.2472
Pt: 0.5844 0.8316 0.7528
Pt: 0.7588 0.5000 0.2588
Pt: 0.9212 0.1684 0.7528

Peak list (6 most intense, 2θ from 10° to 90°, by angle)
2θ = 23.4°, I = 37; 2θ = 31.2°, I = 37; 2θ = 39.4°, I = 100; 2θ = 44.6°, I = 18; 2θ = 44.9°, I = 17; 2θ = 47.8°, I = 14

No. 6
Structure and computed PXRD pattern of SrTb2CrN4 (DFT lattice parameters and positions (PBE); Cu Ka).

Crystal structure
a = 6.2206 Å, b = 6.2206 Å, c = 11.7667 Å
α = 90.00°, β = 90.00°, γ = 147.80°
Fractional positions:
Sr: 0.0908 0.9092 0.7500
Sr: 0.9092 0.0908 0.2500
Tb: 0.3699 0.6301 0.5418
Tb: 0.3699 0.6301 0.9582
Tb: 0.6301 0.3699 0.0418
Tb: 0.6301 0.3699 0.4582
Cr: 0.1769 0.8231 0.2500
Cr: 0.8231 0.1769 0.7500
N: 0.0000 0.0000 0.0000
N: 0.0000 0.0000 0.5000
N: 0.2600 0.7400 0.1235
N: 0.2600 0.7400 0.3765
N: 0.4023 0.5977 0.7500
N: 0.5977 0.4023 0.2500
N: 0.7400 0.2600 0.6235
N: 0.7400 0.2600 0.8765

Peak list (6 most intense, 2θ from 10° to 90°, by angle)
2θ = 27.2°, I = 56; 2θ = 29.9°, I = 46; 2θ = 30.4°, I = 32; 2θ = 31.0°, I = 100; 2θ = 35.2°, I = 32; 2θ = 37.7°, I = 64

No. 7
Structure and computed PXRD pattern of TbSm4Te5 (DFT lattice parameters and positions (PBE); Cu Ka).

Crystal structure
a = 16.1057 Å, b = 16.1057 Å, c = 16.1057 Å
α = 164.25°, β = 164.25°, γ = 22.34°
Fractional positions:
Tb: 0.0000 0.0000 0.0000
Sm: 0.1937 0.1937 0.0000
Sm: 0.3964 0.3964 0.0000
Sm: 0.6036 0.6036 0.0000
Sm: 0.8063 0.8063 0.0000
Te: 0.0963 0.0963 0.0000
Te: 0.2962 0.2962 0.0000
Te: 0.5000 0.5000 0.0000
Te: 0.7038 0.7038 0.0000
Te: 0.9037 0.9037 0.0000

Peak list (6 most intense, 2θ from 10° to 90°, by angle)
2θ = 28.2°, I = 48; 2θ = 28.6°, I = 100; 2θ = 40.6°, I = 73; 2θ = 40.9°, I = 38; 2θ = 50.4°, I = 39; 2θ = 74.3°, I = 24

No. 8
Structure and computed PXRD pattern of Y12Ni6P (DFT lattice parameters and positions (PBE); Cu Ka).

Crystal structure
a = 8.3742 Å, b = 8.3742 Å, c = 8.3742 Å
α = 109.47°, β = 109.47°, γ = 109.47°
Fractional positions:
Y: 0.1143 0.8127 0.3016
Y: 0.1873 0.3016 0.4890
Y: 0.1873 0.6984 0.8857
Y: 0.3016 0.1143 0.8127
Y: 0.3016 0.4890 0.1873
Y: 0.4890 0.1873 0.3016
Y: 0.5110 0.8127 0.6984
Y: 0.6984 0.5110 0.8127
Y: 0.6984 0.8857 0.1873
Y: 0.8127 0.3016 0.1143
Y: 0.8127 0.6984 0.5110
Y: 0.8857 0.1873 0.6984
Ni: 0.1249 0.6249 0.5000
Ni: 0.3751 0.5000 0.8751
Ni: 0.5000 0.1249 0.6249
Ni: 0.5000 0.8751 0.3751
Ni: 0.6249 0.5000 0.1249
Ni: 0.8751 0.3751 0.5000
P: 0.0000 0.0000 0.0000

Peak list (6 most intense, 2θ from 10° to 90°, by angle)
2θ = 29.2°, I = 18; 2θ = 32.1°, I = 29; 2θ = 34.7°, I = 100; 2θ = 48.0°, I = 23; 2θ = 55.4°, I = 24; 2θ = 58.9°, I = 24

Q: Number 3 is which compound?
A: Rb2TiRhCl6